Ho3Pd4: simulated powder X-ray diffraction pattern (Cu Kα), based on a structure optimized by DFT (GGA-PBE).
Lines closer than 0.1° are merged.

Atomic structure:
```
Ho3Pd4
1.0
6.5583 3.7865 1.9060
-6.5583 3.7865 1.9060
0.0000 -7.5729 1.9060
Ho Pd
6 8
Direct
0.0229 0.4044 0.2751
0.2751 0.0229 0.4044
0.4044 0.2751 0.0229
0.5956 0.7249 0.9771
0.7249 0.9771 0.5956
0.9771 0.5956 0.7249
0.0000 0.0000 0.0000
0.0654 0.2300 0.5498
0.2300 0.5498 0.0654
0.4502 0.9346 0.7700
0.5000 0.5000 0.5000
0.5498 0.0654 0.2300
0.7700 0.4502 0.9346
0.9346 0.7700 0.4502
```

The 10 most intense peaks (2θ = 15–90°), low angle first:
| 2θ/deg | intensity |
| --- | --- |
| 32.3 | 13.7 |
| 32.4 | 28.7 |
| 36.2 | 100.0 |
| 37.8 | 71.2 |
| 37.9 | 12.6 |
| 42.7 | 12.9 |
| 51.5 | 10.0 |
| 53.4 | 18.1 |
| 66.3 | 20.2 |
| 73.0 | 10.0 |